Record 1
# Pm3Dy4Sb4
Simulated XRD peak list, Cu Kα (weighted mean of Kα1 and Kα2). Input: a crystal structure in Alexandria, relaxed with GGA-PBE.
Neutral-atom scattering factors, no anomalous dispersion.

Atomic structure:
```
data_Pm3Dy4Sb4
_cell_length_a 11.258
_cell_length_b 4.325
_cell_length_c 13.838
_cell_angle_alpha 90.00
_cell_angle_beta 90.00
_cell_angle_gamma 90.00
_space_group_name_H-M_alt 'A m m 2'
_space_group_IT_number 38
_space_group_name_Hall 'A 2 -2'
loop_
_atom_site_label
_atom_site_type_symbol
_atom_site_fract_x
_atom_site_fract_y
_atom_site_fract_z
Pm1 Pm 0.000 0.000 0.000
Pm2 Pm 0.351 0.000 0.069
Dy1 Dy 0.000 0.000 0.298
Dy2 Dy 0.245 0.000 0.770
Dy3 Dy 0.500 0.000 0.363
Sb1 Sb 0.000 0.000 0.656
Sb2 Sb 0.219 0.000 0.433
Sb3 Sb 0.500 0.000 0.693
```

Largest 10 diffraction maxima, by angle, 15 to 90 degrees two-theta:
hkl  2θ/deg  I (rel.)
3 0 2  27.0  26
0 1 3  28.3  71
1 1 3  29.4  20
4 0 0  31.8  25
3 1 1  32.2  34
2 1 3  32.5  100
4 0 2  34.4  20
4 1 1  38.7  20
0 2 0  41.8  32
2 0 6  42.4  24

---

Record 2
# Pm3DyGe4
Simulated XRD peak list, Cu Kα (weighted mean of Kα1 and Kα2). Input: a crystal structure in Alexandria, relaxed with GGA-PBE.
Neutral-atom scattering factors, no anomalous dispersion.

Atomic structure:
```
data_Pm3DyGe4
_cell_length_a 5.980
_cell_length_b 12.027
_cell_length_c 5.980
_cell_angle_alpha 90.00
_cell_angle_beta 90.00
_cell_angle_gamma 90.00
_space_group_name_H-M_alt 'P m m n'
_space_group_IT_number 59
loop_
_space_group_symop_operation_xyz
'x,y,z'
'-x,-y,-z'
'-x+1/2,-y+1/2,z'
'x+1/2,y+1/2,-z'
'x+1/2,-y,-z'
'-x+1/2,y,z'
'-x,y+1/2,-z'
'x,-y+1/2,z'
loop_
_atom_site_label
_atom_site_type_symbol
_atom_site_fract_x
_atom_site_fract_y
_atom_site_fract_z
Pm1 Pm 0.250 0.000 0.250
Pm2 Pm 0.250 0.250 0.749
Dy1 Dy 0.250 0.750 0.751
Ge1 Ge 0.250 0.250 0.249
Ge2 Ge 0.250 0.504 0.750
Ge3 Ge 0.250 0.750 0.251
```

Largest 10 diffraction maxima, by angle, 15 to 90 degrees two-theta:
hkl  2θ/deg  I (rel.)
1 2 1  25.8  32
0 4 0  29.7  51
2 0 0  29.9  100
2 4 0  42.6  76
2 0 2  42.8  38
2 4 2  52.9  40
2 8 0  70.1  17
4 4 0  70.4  34
2 8 2  78.0  13
4 4 2  78.2  25

---

Record 3
# Li2GePb2O6
Simulated XRD peak list, Cu Kα (weighted mean of Kα1 and Kα2). Input: a crystal structure in Alexandria, relaxed with GGA-PBE.
Neutral-atom scattering factors, no anomalous dispersion.

Atomic structure:
```
data_Li2GePb2O6
_cell_length_a 5.8178
_cell_length_b 5.8178
_cell_length_c 14.8910
_cell_angle_alpha 90.00
_cell_angle_beta 90.00
_cell_angle_gamma 120.00
_space_group_name_H-M_alt 'R -3 m'
_space_group_IT_number 166
_space_group_name_Hall '-R 3 2"'
loop_
_atom_site_label
_atom_site_type_symbol
_atom_site_fract_x
_atom_site_fract_y
_atom_site_fract_z
Li1 Li 0.0000 0.0000 0.0905
Ge1 Ge 0.0000 0.0000 0.5000
Pb1 Pb 0.0000 0.0000 0.2943
O1 O 0.0369 0.5185 0.2476
```

Largest 10 diffraction maxima, by angle, 15 to 90 degrees two-theta:
hkl  2θ/deg  I (rel.)
0 0 3  17.9  27
1 0 1  18.6  61
0 1 2  21.3  58
1 0 4  29.8  23
1 1 0  30.7  100
0 1 5  35.0  75
1 1 3  35.8  33
2 0 2  37.7  35
2 0 5  47.3  33
1 2 5  57.4  43

---

Record 4
# CuNi2Pd4
Simulated XRD peak list, Cu Kα (weighted mean of Kα1 and Kα2). Input: a crystal structure in Alexandria, relaxed with GGA-PBE.
Neutral-atom scattering factors, no anomalous dispersion.

Atomic structure:
```
data_CuNi2Pd4
_cell_length_a 5.402
_cell_length_b 6.042
_cell_length_c 7.075
_cell_angle_alpha 105.01
_cell_angle_beta 111.76
_cell_angle_gamma 102.97
_space_group_name_H-M_alt 'P 1'
_space_group_IT_number 1
_space_group_name_Hall 'P 1'
loop_
_atom_site_label
_atom_site_type_symbol
_atom_site_fract_x
_atom_site_fract_y
_atom_site_fract_z
Cu1 Cu 0.000 0.000 0.000
Cu2 Cu 0.217 0.723 0.572
Ni1 Ni 0.081 0.587 0.862
Ni2 Ni 0.358 0.856 0.279
Ni3 Ni 0.434 0.453 0.138
Ni4 Ni 0.570 0.581 0.859
Pd1 Pd 0.150 0.168 0.728
Pd2 Pd 0.288 0.294 0.417
Pd3 Pd 0.489 0.997 0.996
Pd4 Pd 0.636 0.152 0.707
Pd5 Pd 0.718 0.725 0.581
Pd6 Pd 0.791 0.302 0.426
Pd7 Pd 0.860 0.861 0.283
Pd8 Pd 0.939 0.442 0.132
```

Largest 10 diffraction maxima, by angle, 15 to 90 degrees two-theta:
hkl  2θ/deg  I (rel.)
2 -2 0  40.8  52
0 2 1  41.0  100
0 1 -3  41.2  49
2 0 1  47.6  65
-2 1 3  48.1  31
2 -3 3  69.5  20
-4 1 2  69.6  10
-2 4 1  69.8  10
4 1 -1  83.8  12
2 -1 4  84.2  17

---

Record 5
# PdPbAu
Simulated XRD peak list, Cu Kα (weighted mean of Kα1 and Kα2). Input: a crystal structure in Alexandria, relaxed with GGA-PBE.
Neutral-atom scattering factors, no anomalous dispersion.

Atomic structure:
```
data_PdPbAu
_cell_length_a 5.645
_cell_length_b 6.854
_cell_length_c 6.430
_cell_angle_alpha 90.00
_cell_angle_beta 90.00
_cell_angle_gamma 90.00
_space_group_name_H-M_alt 'I m a 2'
_space_group_IT_number 46
_space_group_name_Hall 'I 2 -2a'
loop_
_atom_site_label
_atom_site_type_symbol
_atom_site_fract_x
_atom_site_fract_y
_atom_site_fract_z
Pd1 Pd 0.000 0.000 0.000
Pb1 Pb 0.250 0.152 0.628
Au1 Au 0.250 0.679 0.825
```

Largest 10 diffraction maxima, by angle, 15 to 90 degrees two-theta:
hkl  2θ/deg  I (rel.)
2 0 0  31.7  25
1 2 1  33.6  82
1 1 2  34.7  100
2 1 1  37.2  41
2 2 0  41.4  26
0 3 1  42.0  31
0 1 3  44.3  21
3 2 1  57.7  18
3 1 2  58.4  23
2 3 3  68.6  30

---

Record 6
# K2Ag2F7
Simulated XRD peak list, Cu Kα (weighted mean of Kα1 and Kα2). Input: a crystal structure in Alexandria, relaxed with GGA-PBE.
Neutral-atom scattering factors, no anomalous dispersion.

Atomic structure:
```
data_K2Ag2F7
_cell_length_a 6.478
_cell_length_b 12.928
_cell_length_c 4.695
_cell_angle_alpha 90.00
_cell_angle_beta 93.87
_cell_angle_gamma 90.00
_space_group_name_H-M_alt 'P 1 21/c 1'
_space_group_IT_number 14
_space_group_name_Hall '-P 2ybc'
loop_
_atom_site_label
_atom_site_type_symbol
_atom_site_fract_x
_atom_site_fract_y
_atom_site_fract_z
K1 K 0.089 0.132 0.291
Ag1 Ag 0.408 0.617 0.708
F1 F 0.114 0.572 0.738
F2 F 0.295 0.161 0.814
F3 F 0.313 0.694 0.343
F4 F 0.500 0.000 0.500
```

Largest 10 diffraction maxima, by angle, 15 to 90 degrees two-theta:
hkl  2θ/deg  I (rel.)
0 2 1  23.5  61
1 1 1  25.2  32
1 2 -1  26.6  100
0 4 0  27.6  65
1 2 1  27.9  40
2 1 0  28.5  39
0 0 2  38.4  27
3 1 -1  45.7  26
0 4 2  48.0  23
1 6 -1  48.2  32